# 1
Starting from DFT lattice parameters and positions (GGA+U), the powder diffraction line list of Bi17W3O34 was calculated for CuKα.
Peak positions follow from Bragg's law for the DFT cell and can differ from measured ones.

Largest 10 diffraction maxima, by intensity, 2θ = 15–90°:
hkl 1 -3 0, 2θ 27.62, I 100
hkl 2 0 1, 2θ 27.29, I 51
hkl -3 1 2, 2θ 28.21, I 48
hkl 2 2 -2, 2θ 31.44, I 29
hkl 3 -3 1, 2θ 32.62, I 26
hkl -1 1 3, 2θ 32.18, I 25
hkl 1 5 -2, 2θ 53.30, I 16
hkl 1 3 1, 2θ 44.98, I 15
hkl 1 -5 3, 2θ 45.76, I 15
hkl -4 4 2, 2θ 47.04, I 14

Structural model:
```
data_Bi17W3O34
_chemical_formula_sum 'Bi17 W3 O34'
_space_group_name_H-M_alt 'P 1'
_space_group_IT_number 1
_cell_length_a 10.274
_cell_length_b 10.410
_cell_length_c 10.418
_cell_angle_alpha 107.61
_cell_angle_beta 106.17
_cell_angle_gamma 113.21
loop_
_space_group_symop_operation_xyz
'x,y,z'
loop_
_atom_site_label
_atom_site_type_symbol
_atom_site_fract_x
_atom_site_fract_y
_atom_site_fract_z
Bi1 Bi 0.000 0.000 0.000
Bi2 Bi 0.026 0.334 0.872
Bi3 Bi 0.161 0.047 0.705
Bi4 Bi 0.206 0.399 0.572
Bi5 Bi 0.248 0.746 0.499
Bi6 Bi 0.334 0.092 0.411
Bi7 Bi 0.407 0.799 0.193
Bi8 Bi 0.464 0.141 0.078
Bi9 Bi 0.492 0.474 0.946
Bi10 Bi 0.570 0.845 0.860
Bi11 Bi 0.659 0.540 0.682
Bi12 Bi 0.720 0.904 0.600
Bi13 Bi 0.749 0.225 0.469
Bi14 Bi 0.796 0.587 0.358
Bi15 Bi 0.864 0.940 0.281
Bi16 Bi 0.892 0.285 0.159
Bi17 Bi 0.965 0.656 0.103
W1 W 0.068 0.659 0.777
W2 W 0.334 0.432 0.286
W3 W 0.618 0.218 0.795
O1 O 0.049 0.939 0.212
O2 O 0.092 0.264 0.116
O3 O 0.160 0.877 0.853
O4 O 0.172 0.656 0.960
O5 O 0.213 0.658 0.695
O6 O 0.226 0.514 0.390
O7 O 0.239 0.283 0.722
O8 O 0.272 0.809 0.315
O9 O 0.318 0.319 0.418
O10 O 0.332 0.548 0.175
O11 O 0.372 0.286 0.161
O12 O 0.402 0.054 0.636
O13 O 0.431 0.047 0.253
O14 O 0.486 0.253 0.924
O15 O 0.500 0.821 0.629
O16 O 0.501 0.586 0.788
O17 O 0.544 0.580 0.424
O18 O 0.602 0.264 0.585
O19 O 0.629 0.422 0.833
O20 O 0.652 0.118 0.928
O21 O 0.654 0.959 0.396
O22 O 0.700 0.317 0.260
O23 O 0.752 0.638 0.135
O24 O 0.754 0.830 0.798
O25 O 0.759 0.148 0.718
O26 O 0.817 0.010 0.076
O27 O 0.874 0.386 0.981
O28 O 0.895 0.590 0.586
O29 O 0.905 0.652 0.857
O30 O 0.964 0.199 0.404
O31 O 0.966 0.889 0.476
O32 O 0.976 0.408 0.692
O33 O 0.980 0.582 0.301
O34 O 0.996 0.081 0.792
```



# 2
Starting from DFT lattice parameters and positions (GGA+U), the powder diffraction line list of K2U2MoO10 was calculated for CuKα.
Peak positions follow from Bragg's law for the DFT cell and can differ from measured ones.

Largest 10 diffraction maxima, by intensity, 2θ = 15–90°:
hkl 2 3 0, 2θ 27.83, I 100
hkl 2 0 -2, 2θ 26.79, I 37
hkl 1 2 0, 2θ 15.76, I 30
hkl 1 3 0, 2θ 20.29, I 22
hkl 2 6 -2, 2θ 44.23, I 17
hkl 4 3 -2, 2θ 48.03, I 17
hkl 2 5 0, 2θ 36.30, I 16
hkl 2 6 2, 2θ 49.87, I 11
hkl 1 2 -2, 2θ 24.61, I 11
hkl 1 0 -4, 2θ 42.88, I 10

Structural model:
```
data_K2U2MoO10
_chemical_formula_sum 'K8 U8 Mo4 O40'
_space_group_name_H-M_alt 'P 1 21/c 1'
_space_group_IT_number 14
_cell_length_a 8.397
_cell_length_b 15.587
_cell_length_c 8.437
_cell_angle_alpha 90.00
_cell_angle_beta 104.61
_cell_angle_gamma 90.00
loop_
_space_group_symop_operation_xyz
'x,y,z'
'-x,-y,-z'
'-x,y+1/2,-z+1/2'
'x,-y+1/2,z+1/2'
loop_
_atom_site_label
_atom_site_type_symbol
_atom_site_fract_x
_atom_site_fract_y
_atom_site_fract_z
K1 K 0.055 0.042 0.274
K2 K 0.325 0.236 0.075
U1 U 0.366 0.574 0.583
U2 U 0.384 0.571 0.106
Mo1 Mo 0.122 0.737 0.790
O1 O 0.086 0.229 0.259
O2 O 0.156 0.671 0.626
O3 O 0.164 0.666 0.965
O4 O 0.190 0.501 0.510
O5 O 0.215 0.007 0.594
O6 O 0.253 0.668 0.321
O7 O 0.402 0.534 0.855
O8 O 0.460 0.156 0.380
O9 O 0.469 0.154 0.846
O10 O 0.473 0.543 0.368
```



# 3
Starting from DFT lattice parameters and positions (GGA+U), the powder diffraction line list of Li3TiMn4O8 was calculated for CuKα.
Peak positions follow from Bragg's law for the DFT cell and can differ from measured ones.

Largest 10 diffraction maxima, by intensity, 2θ = 15–90°:
hkl 2 0 4, 2θ 41.98, I 100
hkl 1 1 1, 2θ 17.82, I 72
hkl 0 2 2, 2θ 40.76, I 55
hkl 1 0 0, 2θ 17.64, I 26
hkl 2 0 0, 2θ 35.74, I 24
hkl 2 0 -4, 2θ 59.61, I 15
hkl 2 -2 2, 2θ 59.82, I 14
hkl 2 2 6, 2θ 60.14, I 14
hkl 0 2 -6, 2θ 60.57, I 14
hkl 2 4 0, 2θ 60.21, I 14

Structural model:
```
data_Li3TiMn4O8
_chemical_formula_sum 'Li6 Ti2 Mn8 O16'
_space_group_name_H-M_alt 'P -1'
_space_group_IT_number 2
_cell_length_a 6.061
_cell_length_b 6.151
_cell_length_c 10.620
_cell_angle_alpha 89.54
_cell_angle_beta 73.77
_cell_angle_gamma 60.88
loop_
_space_group_symop_operation_xyz
'x,y,z'
'-x,-y,-z'
loop_
_atom_site_label
_atom_site_type_symbol
_atom_site_fract_x
_atom_site_fract_y
_atom_site_fract_z
Li1 Li 0.000 0.000 0.000
Li2 Li 0.000 0.500 0.500
Li3 Li 0.017 0.233 0.743
Li4 Li 0.498 0.765 0.753
Ti1 Ti 0.493 0.733 0.250
Mn1 Mn 0.000 0.000 0.500
Mn2 Mn 0.000 0.500 0.000
Mn3 Mn 0.002 0.245 0.252
Mn4 Mn 0.500 0.000 0.000
Mn5 Mn 0.500 0.000 0.500
Mn6 Mn 0.500 0.500 0.000
Mn7 Mn 0.500 0.500 0.500
O1 O 0.248 0.867 0.140
O2 O 0.259 0.369 0.640
O3 O 0.264 0.636 0.365
O4 O 0.266 0.875 0.617
O5 O 0.272 0.335 0.114
O6 O 0.276 0.597 0.861
O7 O 0.277 0.098 0.372
O8 O 0.285 0.125 0.877
```



# 4
Starting from DFT lattice parameters and positions (GGA+U), the powder diffraction line list of Nb2Zn2FeO8 was calculated for CuKα.
Peak positions follow from Bragg's law for the DFT cell and can differ from measured ones.

Largest 10 diffraction maxima, by intensity, 2θ = 15–90°:
hkl 5 1 -1, 2θ 32.01, I 100
hkl 0 2 1, 2θ 34.45, I 82
hkl 5 1 1, 2θ 32.34, I 74
hkl 5 1 0, 2θ 27.29, I 71
hkl 5 3 0, 2θ 51.50, I 63
hkl 0 0 2, 2θ 33.81, I 58
hkl 8 0 2, 2θ 51.18, I 37
hkl 0 2 3, 2θ 60.90, I 34
hkl 3 1 1, 2θ 26.43, I 24
hkl 5 1 -2, 2θ 43.73, I 23

Structural model:
```
data_Nb2Zn2FeO8
_chemical_formula_sum 'Nb8 Zn8 Fe4 O32'
_space_group_name_H-M_alt 'C 1 2/c 1'
_space_group_IT_number 15
_cell_length_a 19.521
_cell_length_b 5.977
_cell_length_c 5.302
_cell_angle_alpha 90.00
_cell_angle_beta 90.75
_cell_angle_gamma 90.00
loop_
_space_group_symop_operation_xyz
'x,y,z'
'-x,-y,-z'
'-x,y,-z+1/2'
'x,-y,z+1/2'
'x+1/2,y+1/2,z'
'-x+1/2,-y+1/2,-z'
'-x+1/2,y+1/2,-z+1/2'
'x+1/2,-y+1/2,z+1/2'
loop_
_atom_site_label
_atom_site_type_symbol
_atom_site_fract_x
_atom_site_fract_y
_atom_site_fract_z
Nb1 Nb 0.115 0.161 0.262
Zn1 Zn 0.220 0.347 0.769
Fe1 Fe 0.000 0.348 0.750
O1 O 0.059 0.374 0.405
O2 O 0.070 0.116 0.923
O3 O 0.179 0.104 0.562
O4 O 0.194 0.354 0.132
```